Calculated X-ray diffraction stick pattern of BeNbVCuPF for Cu Kα, from a crystal structure in Alexandria, relaxed with PBE+U.
No peak broadening, texture or thermal motion is included.

Atomic structure:
a b c (Å): 9.2571 3.5764 5.7903
angles (deg): 90.00 110.26 90.00
Positions (direct):
Be: 0.0000 0.0000 0.0000
Be: 0.5000 0.5000 0.0000
Nb: 0.0411 0.0000 0.6118
Nb: 0.5411 0.5000 0.6118
V: 0.1864 0.5000 0.9792
V: 0.6864 0.0000 0.9792
Cu: 0.3595 0.0000 0.7428
Cu: 0.8595 0.5000 0.7428
P: 0.2205 0.5000 0.5148
P: 0.7205 0.0000 0.5148
F: 0.4238 0.5000 0.1919
F: 0.9238 0.0000 0.1919

Largest 10 diffraction maxima, in order of falling intensity, 2θ = 10–90°:
- hkl 3 1 0, 40.1°, I = 100
- hkl 0 0 1, 16.3°, I = 77
- hkl 1 1 -1, 29.7°, I = 45
- hkl 4 0 -1, 39.0°, I = 34
- hkl 3 1 1, 47.7°, I = 21
- hkl 2 0 2, 45.1°, I = 18
- hkl 4 0 -2, 43.4°, I = 17
- hkl 0 2 0, 51.1°, I = 16
- hkl 7 1 -2, 77.4°, I = 15
- hkl 0 0 2, 33.0°, I = 9